(1)
The following is a simulated XRD peak list of K2Si2O5. It was derived from the GGA-PBE geometry in Alexandria, using Cu Kα (λ = 1.5418 Å).
No peak broadening, texture or thermal motion is included.

Structure:
```
data_K2Si2O5
_chemical_formula_sum 'K24 Si24 O60'
_symmetry_space_group_name_H-M 'C 1 c 1'
_symmetry_Int_Tables_number 9
_cell_length_a 16.7873
_cell_length_b 11.4168
_cell_length_c 10.1249
_cell_angle_alpha 90.00
_cell_angle_beta 116.55
_cell_angle_gamma 90.00
loop_
_symmetry_equiv_pos_as_xyz
'x,y,z'
'x,-y,z+1/2'
'x+1/2,y+1/2,z'
'x+1/2,-y+1/2,z+1/2'
loop_
_atom_site_label
_atom_site_fract_x
_atom_site_fract_y
_atom_site_fract_z
_atom_site_occupancy
K1 0.0000 0.0139 0.0000 1
K2 0.0288 0.2317 0.7589 1
K3 0.0642 0.4757 0.9345 1
K4 0.1637 0.2243 0.5935 1
K5 0.3169 0.2348 0.9899 1
K6 0.3671 0.2428 0.3984 1
Si1 0.1075 0.2707 0.2074 1
Si2 0.2069 0.0287 0.3437 1
Si3 0.2220 0.4849 0.7973 1
Si4 0.3341 0.0159 0.6907 1
Si5 0.3438 0.4810 0.6390 1
Si6 0.4508 0.2522 0.7971 1
O1 0.0451 0.2941 0.2959 1
O2 0.0496 0.2422 0.0380 1
O3 0.1276 0.0578 0.7538 1
O4 0.1642 0.3803 0.8119 1
O5 0.1664 0.3922 0.2315 1
O6 0.1836 0.1713 0.3100 1
O7 0.2453 0.0175 0.5263 1
O8 0.2596 0.4430 0.6760 1
O9 0.2951 0.9996 0.3150 1
O10 0.3081 0.4782 0.4560 1
O11 0.3727 0.1522 0.7097 1
O12 0.3875 0.3986 0.2134 1
O13 0.4045 0.0847 0.2148 1
O14 0.4156 0.3690 0.6877 1
O15 0.4697 0.2761 0.9627 1
```

Peak list (10 most intense, 10 to 90 degrees two-theta, low angle first)
- hkl 2 2 0, 2θ 19.56, I 39
- hkl 4 0 -2, 2θ 23.04, I 23
- hkl 2 2 1, 2θ 24.18, I 10
- hkl 3 1 -3, 2θ 27.92, I 52
- hkl 5 1 -2, 2θ 28.46, I 28
- hkl 0 4 0, 2θ 31.40, I 100
- hkl 5 3 -1, 2θ 35.85, I 28
- hkl 2 0 -4, 2θ 35.95, I 14
- hkl 5 3 -2, 2θ 36.29, I 18
- hkl 7 1 -1, 2θ 39.40, I 19

***

(2)
The following is a simulated XRD peak list of Li2In3Hg4. It was derived from the GGA-PBE geometry in Alexandria, using Cu Kα (λ = 1.5418 Å).
No peak broadening, texture or thermal motion is included.

Structure:
```
data_Li2In3Hg4
_chemical_formula_sum 'Li2 In3 Hg4'
_symmetry_space_group_name_H-M 'P -1'
_symmetry_Int_Tables_number 2
_cell_length_a 4.8722
_cell_length_b 5.0051
_cell_length_c 9.7014
_cell_angle_alpha 82.99
_cell_angle_beta 86.01
_cell_angle_gamma 63.24
loop_
_symmetry_equiv_pos_as_xyz
'x,y,z'
'-x,-y,-z'
loop_
_atom_site_label
_atom_site_fract_x
_atom_site_fract_y
_atom_site_fract_z
_atom_site_occupancy
Li1 0.1643 0.1705 0.2171 1
In1 0.1678 0.1589 0.5675 1
In2 0.5000 0.5000 0.0000 1
Hg1 0.1651 0.1706 0.8883 1
Hg2 0.4945 0.5047 0.3190 1
```

Peak list (10 most intense, 10 to 90 degrees two-theta, low angle first)
- hkl 0 1 1, 2θ 21.14, I 35
- hkl 1 0 1, 2θ 22.28, I 38
- hkl 1 1 3, 2θ 33.25, I 100
- hkl 1 -1 0, 2θ 34.69, I 92
- hkl 1 0 -3, 2θ 35.02, I 88
- hkl 0 1 -3, 2θ 36.15, I 79
- hkl 1 2 0, 2θ 36.26, I 82
- hkl 2 1 0, 2θ 37.04, I 77
- hkl 0 2 3, 2θ 47.31, I 38
- hkl 2 0 3, 2θ 50.29, I 31

***

- Number 2 is which compound?
  Li2In3Hg4